Structure and simulated powder diffractogram of YIn7Ni5 (a cell relaxed with GGA-PBE; Cu Kα X-rays).
Lines closer than 0.1° are merged.

Most intense lines, 5 to 70 degrees two-theta, most intense first:
2theta	intensity
38.65	100.0
43.13	59.7
38.29	39.3
33.20	39.3
43.54	32.4
32.85	30.5
38.92	24.4
33.37	24.0

Atomic structure:
a = 7.110 Å, b = 7.110 Å, c = 7.110 Å
α = 134.91°, β = 98.14°, γ = 98.77°
Sites, in units of the cell vectors:
Y  0.000  0.000  0.000
In  0.177  0.483  0.693
In  0.231  0.731  0.500
In  0.345  0.345  0.000
In  0.358  0.021  0.337
In  0.673  0.673  0.000
In  0.684  0.021  0.663
In  0.790  0.483  0.307
Ni  0.004  0.507  0.011
Ni  0.004  0.993  0.496
Ni  0.497  0.507  0.504
Ni  0.497  0.993  0.989
Ni  0.766  0.266  0.500

Structure and simulated powder diffractogram of PmPr5Sm5 (a cell relaxed with GGA-PBE; Cu Kα X-rays).
Lines closer than 0.1° are merged.

Most intense lines, 5 to 70 degrees two-theta, most intense first:
2theta	intensity
31.36	100.0
31.10	71.7
30.81	63.4
31.57	53.4
32.07	32.7
55.34	27.4
30.60	22.3
44.80	16.8

Atomic structure:
a = 7.074 Å, b = 7.078 Å, c = 8.818 Å
α = 75.35°, β = 74.82°, γ = 69.76°
Sites, in units of the cell vectors:
Pm  0.000  0.000  0.000
Pr  0.148  0.146  0.362
Pr  0.234  0.642  0.267
Pr  0.500  0.000  0.000
Pr  0.766  0.358  0.733
Pr  0.852  0.854  0.638
Sm  0.000  0.500  0.000
Sm  0.312  0.318  0.638
Sm  0.349  0.778  0.724
Sm  0.651  0.222  0.276
Sm  0.688  0.682  0.362

Structure and simulated powder diffractogram of SmHoCuSi (a cell relaxed with GGA-PBE; Cu Kα X-rays).
Lines closer than 0.1° are merged.

Most intense lines, 5 to 70 degrees two-theta, most intense first:
2theta	intensity
32.07	100.0
33.04	56.8
27.29	54.3
56.36	47.3
44.37	43.4
39.90	41.6
32.91	26.2
52.92	18.0

Atomic structure:
a = 4.087 Å, b = 4.079 Å, c = 10.885 Å
α = 90.00°, β = 90.00°, γ = 90.00°
Sites, in units of the cell vectors:
Sm  0.000  0.000  0.000
Sm  0.000  0.500  0.500
Ho  0.500  0.000  0.720
Ho  0.500  0.500  0.220
Cu  0.500  0.000  0.419
Cu  0.500  0.500  0.919
Si  0.000  0.000  0.284
Si  0.000  0.500  0.784